The following is a calculated powder X-ray diffraction pattern of Li3Mn2Ni5O12. It was derived from a cell relaxed with PBE+U, using CuKα.

Crystal structure
Unit cell a=5.0521 b=5.0521 c=9.8126 alpha=95.23 beta=95.23 gamma=121.55
Element x y z (fractional)
Li1 0.0000 0.0000 0.0000
Li2 0.4114 0.0944 0.2466
Li3 0.9056 0.5886 0.7534
Mn1 0.3359 0.6641 0.0000
Mn2 0.8363 0.1637 0.5000
Ni1 0.0841 0.4102 0.2460
Ni2 0.1669 0.8331 0.5000
Ni3 0.5008 0.4992 0.5000
Ni4 0.5898 0.9159 0.7540
Ni5 0.6602 0.3398 0.0000
O1 0.0431 0.6761 0.1116
O2 0.1403 0.1554 0.3884
O3 0.2031 0.5301 0.6123
O4 0.3239 0.9569 0.8884
O5 0.3748 0.3859 0.1074
O6 0.4699 0.7969 0.3877
O7 0.5728 0.2046 0.6142
O8 0.6141 0.6252 0.8926
O9 0.6783 0.0609 0.1096
O10 0.7954 0.4272 0.3858
O11 0.8446 0.8597 0.6116
O12 0.9391 0.3217 0.8904

Largest 10 diffraction maxima, sorted by position, 2θ = 10–90°:
| 2θ/deg | intensity |
| --- | --- |
| 18.4 | 55 |
| 20.1 | 26 |
| 21.4 | 23 |
| 24.2 | 35 |
| 37.8 | 33 |
| 43.5 | 100 |
| 44.9 | 46 |
| 63.2 | 27 |
| 63.6 | 26 |
| 65.0 | 25 |